Starting from a crystal structure in Alexandria, relaxed with GGA-PBE, the powder diffraction line list of Tb2PrOsN4 was computed for copper Kα.

Principal peaks in the range 5 to 70 degrees two-theta, in order of rising 2θ:
(hkl), d (Å), 2theta, I/Imax
0 2 1, 5.273, 16.81, 24
0 4 0, 2.950, 30.29, 61
0 0 4, 2.936, 30.44, 44
1 1 2, 2.892, 30.92, 100
1 1 3, 2.535, 35.41, 25
1 3 2, 2.377, 37.85, 99
0 4 4, 2.081, 43.48, 31
1 5 3, 1.745, 52.44, 24
2 4 0, 1.493, 62.20, 28
1 7 2, 1.468, 63.37, 23

Crystal structure
```
data_Tb2PrOsN4
_cell_length_a 3.463
_cell_length_b 11.802
_cell_length_c 11.746
_cell_angle_alpha 90.00
_cell_angle_beta 90.00
_cell_angle_gamma 90.00
_space_group_name_H-M_alt 'C m c m'
_space_group_IT_number 63
_space_group_name_Hall '-C 2c 2'
loop_
_atom_site_label
_atom_site_type_symbol
_atom_site_fract_x
_atom_site_fract_y
_atom_site_fract_z
Tb1 Tb 0.000 0.131 0.041
Pr1 Pr 0.000 0.382 0.250
Os1 Os 0.000 0.355 0.750
N1 N 0.000 0.063 0.250
N2 N 0.000 0.233 0.628
N3 N 0.000 0.500 0.000
```


Starting from a crystal structure in Alexandria, relaxed with GGA-PBE, the powder diffraction line list of SrPu2OsN4 was computed for copper Kα.

Principal peaks in the range 5 to 70 degrees two-theta, in order of rising 2θ:
(hkl), d (Å), 2theta, I/Imax
0 2 1, 5.308, 16.70, 66
0 2 3, 3.329, 26.78, 40
0 0 4, 3.022, 29.56, 35
0 4 0, 2.954, 30.26, 37
1 1 2, 2.939, 30.42, 100
1 1 3, 2.582, 34.75, 65
1 3 1, 2.560, 35.05, 34
1 3 2, 2.403, 37.42, 87
0 2 5, 2.238, 40.31, 47
1 5 3, 1.762, 51.88, 34

Crystal structure
```
data_SrPu2OsN4
_cell_length_a 3.508
_cell_length_b 11.815
_cell_length_c 12.089
_cell_angle_alpha 90.00
_cell_angle_beta 90.00
_cell_angle_gamma 90.00
_space_group_name_H-M_alt 'C m c m'
_space_group_IT_number 63
_space_group_name_Hall '-C 2c 2'
loop_
_atom_site_label
_atom_site_type_symbol
_atom_site_fract_x
_atom_site_fract_y
_atom_site_fract_z
Sr1 Sr 0.000 0.076 0.250
Pu1 Pu 0.000 0.369 0.049
Os1 Os 0.000 0.186 0.750
N1 N 0.000 0.000 0.000
N2 N 0.000 0.251 0.599
N3 N 0.000 0.402 0.250
```


Starting from a crystal structure in Alexandria, relaxed with GGA-PBE, the powder diffraction line list of ReTeOs2N was computed for copper Kα.

Principal peaks in the range 5 to 70 degrees two-theta, in order of rising 2θ:
(hkl), d (Å), 2theta, I/Imax
0 0 1, 3.740, 23.79, 53
1 0 1, 2.983, 29.96, 60
1 1 1, 2.554, 35.14, 49
2 0 0, 2.472, 36.35, 100
2 0 1, 2.062, 43.91, 44
2 1 1, 1.903, 47.79, 34
0 0 2, 1.870, 48.69, 22
2 2 0, 1.748, 52.35, 36
2 2 1, 1.583, 58.27, 19
2 0 2, 1.491, 62.25, 42

Crystal structure
```
data_ReTeOs2N
_cell_length_a 4.943
_cell_length_b 4.943
_cell_length_c 3.740
_cell_angle_alpha 90.00
_cell_angle_beta 90.00
_cell_angle_gamma 90.00
_space_group_name_H-M_alt 'P 4/m m m'
_space_group_IT_number 123
_space_group_name_Hall '-P 4 2'
loop_
_atom_site_label
_atom_site_type_symbol
_atom_site_fract_x
_atom_site_fract_y
_atom_site_fract_z
Re1 Re 0.000 0.000 0.000
Te1 Te 0.500 0.500 0.500
Os1 Os 0.000 0.500 0.000
N1 N 0.000 0.000 0.500
```


Starting from a crystal structure in Alexandria, relaxed with GGA-PBE, the powder diffraction line list of Sn2OsRhN was computed for copper Kα.

Principal peaks in the range 5 to 70 degrees two-theta, in order of rising 2θ:
(hkl), d (Å), 2theta, I/Imax
1 0 0, 4.591, 19.33, 3
1 1 0, 3.246, 27.48, 2
1 0 1, 2.980, 29.98, 5
1 1 1, 2.500, 35.92, 100
2 0 0, 2.295, 39.25, 43
0 0 2, 1.959, 46.34, 14
2 1 1, 1.819, 50.16, 3
2 2 0, 1.623, 56.72, 15
2 0 2, 1.490, 62.30, 23
3 1 1, 1.361, 68.99, 31

Crystal structure
```
data_Sn2OsRhN
_cell_length_a 4.591
_cell_length_b 4.591
_cell_length_c 3.919
_cell_angle_alpha 90.00
_cell_angle_beta 90.00
_cell_angle_gamma 90.00
_space_group_name_H-M_alt 'P 4/m m m'
_space_group_IT_number 123
_space_group_name_Hall '-P 4 2'
loop_
_atom_site_label
_atom_site_type_symbol
_atom_site_fract_x
_atom_site_fract_y
_atom_site_fract_z
Sn1 Sn 0.000 0.500 0.000
Os1 Os 0.000 0.000 0.500
Rh1 Rh 0.500 0.500 0.500
N1 N 0.500 0.500 0.000
```


Starting from a crystal structure in Alexandria, relaxed with GGA-PBE, the powder diffraction line list of Th8Os3Se3N was computed for copper Kα.

Principal peaks in the range 5 to 70 degrees two-theta, in order of rising 2θ:
(hkl), d (Å), 2theta, I/Imax
0 0 1, 7.208, 12.28, 27
4 0 -2, 3.359, 26.54, 19
2 2 -2, 2.958, 30.22, 100
4 0 1, 2.326, 38.72, 15
4 0 -4, 2.147, 42.09, 32
0 4 0, 2.044, 44.33, 13
6 2 -2, 2.038, 44.45, 25
2 2 3, 1.718, 53.33, 11
4 4 0, 1.681, 54.60, 13
4 4 -4, 1.479, 62.84, 10

Crystal structure
```
data_Th8Os3Se3N
_cell_length_a 14.109
_cell_length_b 8.174
_cell_length_c 8.605
_cell_angle_alpha 90.00
_cell_angle_beta 123.10
_cell_angle_gamma 90.00
_space_group_name_H-M_alt 'C 1 2/m 1'
_space_group_IT_number 12
loop_
_space_group_symop_operation_xyz
'x,y,z'
'-x,-y,-z'
'-x,y,-z'
'x,-y,z'
'x+1/2,y+1/2,z'
'-x+1/2,-y+1/2,-z'
'-x+1/2,y+1/2,-z'
'x+1/2,-y+1/2,z'
loop_
_atom_site_label
_atom_site_type_symbol
_atom_site_fract_x
_atom_site_fract_y
_atom_site_fract_z
Th1 Th 0.011 0.239 0.293
Th2 Th 0.226 0.000 0.706
Th3 Th 0.239 0.500 0.716
Os1 Os 0.000 0.500 0.500
Os2 Os 0.250 0.250 0.500
Se1 Se 0.000 0.000 0.000
Se2 Se 0.250 0.250 0.000
N1 N 0.000 0.000 0.500
```


Starting from a crystal structure in Alexandria, relaxed with GGA-PBE, the powder diffraction line list of SiOsN2 was computed for copper Kα.

Principal peaks in the range 5 to 70 degrees two-theta, in order of rising 2θ:
(hkl), d (Å), 2theta, I/Imax
1 0 1, 3.973, 22.38, 74
1 1 2, 2.534, 35.43, 100
1 0 3, 2.359, 38.14, 24
2 0 0, 2.263, 39.83, 29
0 0 4, 2.074, 43.65, 11
2 1 1, 1.967, 46.16, 28
2 1 3, 1.633, 56.33, 13
2 2 0, 1.600, 57.59, 14
2 0 4, 1.529, 60.56, 25
3 1 2, 1.353, 69.47, 28

Crystal structure
```
data_SiOsN2
_cell_length_a 4.527
_cell_length_b 4.527
_cell_length_c 8.294
_cell_angle_alpha 90.00
_cell_angle_beta 90.00
_cell_angle_gamma 90.00
_space_group_name_H-M_alt 'I -4 2 d'
_space_group_IT_number 122
_space_group_name_Hall 'I -4 2bw'
loop_
_atom_site_label
_atom_site_type_symbol
_atom_site_fract_x
_atom_site_fract_y
_atom_site_fract_z
Si1 Si 0.000 0.000 0.000
Os1 Os 0.000 0.000 0.500
N1 N 0.185 0.250 0.125
```


Starting from a crystal structure in Alexandria, relaxed with GGA-PBE, the powder diffraction line list of Sr2SmOs2N6 was computed for copper Kα.

Principal peaks in the range 5 to 70 degrees two-theta, in order of rising 2θ:
(hkl), d (Å), 2theta, I/Imax
0 0 3, 6.114, 14.49, 2
1 0 1, 4.995, 17.76, 5
0 1 2, 4.518, 19.65, 7
0 0 6, 3.057, 29.21, 3
0 1 5, 2.997, 29.82, 100
1 1 3, 2.691, 33.29, 3
1 1 6, 2.140, 42.22, 2
2 0 5, 2.119, 42.67, 21
1 2 5, 1.730, 52.92, 41
2 2 0, 1.498, 61.93, 13

Crystal structure
```
data_Sr2SmOs2N6
_cell_length_a 5.9945
_cell_length_b 5.9945
_cell_length_c 18.3434
_cell_angle_alpha 90.00
_cell_angle_beta 90.00
_cell_angle_gamma 120.00
_space_group_name_H-M_alt 'R -3 m'
_space_group_IT_number 166
_space_group_name_Hall '-R 3 2"'
loop_
_atom_site_label
_atom_site_type_symbol
_atom_site_fract_x
_atom_site_fract_y
_atom_site_fract_z
Sr1 Sr 0.0000 0.0000 0.2094
Sm1 Sm 0.0000 0.0000 0.0000
Os1 Os 0.0000 0.0000 0.4028
N1 N 0.9996 0.4998 0.2416
```


Starting from a crystal structure in Alexandria, relaxed with GGA-PBE, the powder diffraction line list of Sr7OsN6 was computed for copper Kα.

Principal peaks in the range 5 to 70 degrees two-theta, in order of rising 2θ:
(hkl), d (Å), 2theta, I/Imax
1 1 0, 5.888, 15.05, 18
1 1 2, 4.510, 19.68, 16
1 2 1, 3.166, 28.18, 23
0 2 2, 3.042, 29.36, 17
2 0 4, 3.030, 29.48, 100
4 0 0, 3.009, 29.69, 36
2 2 2, 2.715, 33.00, 30
4 1 1, 2.697, 33.22, 24
1 2 3, 2.669, 33.58, 16
0 0 8, 1.754, 52.16, 16

Crystal structure
```
data_Sr7OsN6
_cell_length_a 12.036
_cell_length_b 6.751
_cell_length_c 14.030
_cell_angle_alpha 90.00
_cell_angle_beta 90.00
_cell_angle_gamma 90.00
_space_group_name_H-M_alt 'P b c n'
_space_group_IT_number 60
loop_
_space_group_symop_operation_xyz
'x,y,z'
'-x,-y,-z'
'-x+1/2,-y+1/2,z+1/2'
'x+1/2,y+1/2,-z+1/2'
'x+1/2,-y+1/2,-z'
'-x+1/2,y+1/2,z'
'-x,y,-z+1/2'
'x,-y,z+1/2'
loop_
_atom_site_label
_atom_site_type_symbol
_atom_site_fract_x
_atom_site_fract_y
_atom_site_fract_z
Sr1 Sr 0.000 0.073 0.250
Sr2 Sr 0.034 0.232 0.517
Sr3 Sr 0.215 0.390 0.122
Sr4 Sr 0.216 0.373 0.877
Os1 Os 0.000 0.422 0.750
N1 N 0.030 0.413 0.358
N2 N 0.120 0.260 0.707
N3 N 0.168 0.093 0.996
```


Starting from a crystal structure in Alexandria, relaxed with GGA-PBE, the powder diffraction line list of Sr8Os3N8 was computed for copper Kα.

Principal peaks in the range 5 to 70 degrees two-theta, in order of rising 2θ:
(hkl), d (Å), 2theta, I/Imax
2 0 1, 5.104, 17.38, 36
1 1 -1, 4.375, 20.30, 67
3 1 0, 4.040, 22.00, 32
1 1 -2, 3.102, 28.78, 32
6 0 0, 3.068, 29.10, 33
5 1 -1, 3.057, 29.22, 38
5 1 0, 3.036, 29.42, 36
1 1 2, 2.887, 30.98, 98
0 2 0, 2.684, 33.39, 100
5 1 -2, 2.647, 33.87, 63

Crystal structure
```
data_Sr8Os3N8
_cell_length_a 19.122
_cell_length_b 5.367
_cell_length_c 7.621
_cell_angle_alpha 90.00
_cell_angle_beta 105.69
_cell_angle_gamma 90.00
_space_group_name_H-M_alt 'C 1 2/m 1'
_space_group_IT_number 12
loop_
_space_group_symop_operation_xyz
'x,y,z'
'-x,-y,-z'
'-x,y,-z'
'x,-y,z'
'x+1/2,y+1/2,z'
'-x+1/2,-y+1/2,-z'
'-x+1/2,y+1/2,-z'
'x+1/2,-y+1/2,z'
loop_
_atom_site_label
_atom_site_type_symbol
_atom_site_fract_x
_atom_site_fract_y
_atom_site_fract_z
Sr1 Sr 0.025 0.000 0.260
Sr2 Sr 0.101 0.500 0.953
Sr3 Sr 0.166 0.500 0.471
Sr4 Sr 0.202 0.000 0.801
Os1 Os 0.000 0.500 0.500
Os2 Os 0.186 0.000 0.203
N1 N 0.025 0.500 0.284
N2 N 0.100 0.000 0.004
N3 N 0.176 0.000 0.440
N4 N 0.220 0.500 0.832
```


Starting from a crystal structure in Alexandria, relaxed with GGA-PBE, the powder diffraction line list of Sr5Os2N6 was computed for copper Kα.

Principal peaks in the range 5 to 70 degrees two-theta, in order of rising 2θ:
(hkl), d (Å), 2theta, I/Imax
0 0 2, 6.436, 13.76, 63
1 1 -1, 5.558, 15.95, 52
2 0 0, 5.107, 17.37, 45
0 0 4, 3.218, 27.72, 36
1 1 -4, 2.981, 29.97, 63
3 1 1, 2.852, 31.36, 90
3 1 -3, 2.778, 32.23, 100
0 2 3, 2.720, 32.93, 97
1 3 -1, 2.269, 39.72, 66
1 3 1, 2.230, 40.44, 39

Crystal structure
```
data_Sr5Os2N6
_cell_length_a 10.489
_cell_length_b 7.034
_cell_length_c 13.219
_cell_angle_alpha 90.00
_cell_angle_beta 103.16
_cell_angle_gamma 90.00
_space_group_name_H-M_alt 'C 1 2/c 1'
_space_group_IT_number 15
loop_
_space_group_symop_operation_xyz
'x,y,z'
'-x,-y,-z'
'-x,y,-z+1/2'
'x,-y,z+1/2'
'x+1/2,y+1/2,z'
'-x+1/2,-y+1/2,-z'
'-x+1/2,y+1/2,-z+1/2'
'x+1/2,-y+1/2,z+1/2'
loop_
_atom_site_label
_atom_site_type_symbol
_atom_site_fract_x
_atom_site_fract_y
_atom_site_fract_z
Sr1 Sr 0.000 0.109 0.250
Sr2 Sr 0.066 0.240 0.999
Sr3 Sr 0.159 0.400 0.717
Os1 Os 0.232 0.404 0.444
N1 N 0.056 0.450 0.377
N2 N 0.147 0.047 0.640
N3 N 0.209 0.023 0.417
```


Starting from a crystal structure in Alexandria, relaxed with GGA-PBE, the powder diffraction line list of SrTm2OsN4 was computed for copper Kα.

Principal peaks in the range 5 to 70 degrees two-theta, in order of rising 2θ:
(hkl), d (Å), 2theta, I/Imax
0 2 1, 5.312, 16.69, 54
0 0 4, 2.996, 29.82, 52
1 1 2, 2.895, 30.88, 100
0 4 1, 2.876, 31.10, 34
1 1 3, 2.547, 35.23, 50
1 3 1, 2.537, 35.38, 40
1 3 2, 2.382, 37.77, 99
0 2 5, 2.222, 40.60, 37
1 3 5, 1.761, 51.92, 31
1 7 0, 1.520, 60.95, 33

Crystal structure
```
data_SrTm2OsN4
_cell_length_a 3.444
_cell_length_b 11.851
_cell_length_c 11.984
_cell_angle_alpha 90.00
_cell_angle_beta 90.00
_cell_angle_gamma 90.00
_space_group_name_H-M_alt 'C m c m'
_space_group_IT_number 63
_space_group_name_Hall '-C 2c 2'
loop_
_atom_site_label
_atom_site_type_symbol
_atom_site_fract_x
_atom_site_fract_y
_atom_site_fract_z
Sr1 Sr 0.000 0.072 0.250
Tm1 Tm 0.000 0.370 0.042
Os1 Os 0.000 0.188 0.750
N1 N 0.000 0.000 0.000
N2 N 0.000 0.257 0.607
N3 N 0.000 0.397 0.250
```